# Li2Mn3O4F3
Calculated powder XRD pattern, Cu Kα (weighted mean of Kα1 and Kα2). Input: a PBE+U-relaxed structure.

Most intense lines, 10° ≤ 2θ ≤ 80°, in order of rising 2θ:
two_theta  intensity  index
18.0  100  1 -1 0
34.4  28  1 2 -2
35.0  14  1 0 -3
41.3  26  2 0 1
42.4  22  -2 1 3
42.6  23  0 3 -2
55.9  7  -3 2 3
60.1  7  2 3 -1
60.8  7  2 2 -5
61.9  7  0 1 4

Atomic structure:
a b c (Å): 6.223 6.666 7.989
angles (deg): 105.32 112.87 101.32
Space group P1 (No. 1)
Symmetry-distinct sites (fractional):
Li 0.000 0.000 0.000 x1
Li 0.069 0.159 0.493 x1
Li 0.575 0.579 0.880 x1
Li 0.645 0.473 0.423 x1
Mn 0.119 0.576 0.884 x1
Mn 0.246 0.719 0.593 x1
Mn 0.397 0.877 0.300 x1
Mn 0.528 0.037 0.020 x1
Mn 0.664 0.153 0.732 x1
Mn 0.962 0.447 0.161 x1
O 0.000 0.292 0.932 x1
O 0.055 0.724 0.097 x1
O 0.211 0.478 0.686 x1
O 0.326 0.988 0.520 x1
O 0.472 0.776 0.085 x1
O 0.590 0.875 0.817 x1
O 0.593 0.292 0.954 x1
O 0.925 0.586 0.377 x1
F 0.122 0.876 0.815 x1
F 0.367 0.577 0.366 x1
F 0.438 0.174 0.223 x1
F 0.723 0.461 0.684 x1
F 0.752 0.032 0.506 x1
F 0.940 0.155 0.222 x1